Record 1
Computed XRD peak list
Compound: CeCo3Cu2
Radiation: Cu Kα, 1.54184 Å
Structure: DFT lattice parameters and positions (GGA-PBE)
Lines closer than 0.1° are merged.

Main lines, in order of rising 2θ (15 to 90 degrees two-theta):
| 2theta | intensity |
| --- | --- |
| 30.50 | 39 |
| 36.34 | 33 |
| 42.20 | 30 |
| 42.94 | 100 |
| 45.10 | 27 |
| 59.24 | 15 |
| 63.47 | 17 |
| 69.93 | 22 |
| 77.16 | 15 |
| 81.73 | 14 |

Cell and atoms:
```
CeCo3Cu2
1.0
4.9450 0.0000 0.0000
-2.4725 4.2825 0.0000
0.0000 0.0000 4.0206
Ce Co Cu
1 3 2
direct
0.0000 0.0000 0.0000
0.0000 0.5000 0.5000
0.5000 0.0000 0.5000
0.5000 0.5000 0.5000
0.3333 0.6667 0.0000
0.6667 0.3333 0.0000
```

***

Record 2
Computed XRD peak list
Compound: CeCoCuSi2
Radiation: Cu Kα, 1.54184 Å
Structure: DFT lattice parameters and positions (GGA-PBE)
Lines closer than 0.1° are merged.

Main lines, in order of rising 2θ (15 to 90 degrees two-theta):
| 2theta | intensity |
| --- | --- |
| 23.81 | 39 |
| 35.44 | 48 |
| 36.42 | 100 |
| 36.89 | 15 |
| 44.81 | 40 |
| 52.08 | 16 |
| 58.38 | 22 |
| 59.39 | 14 |
| 66.16 | 16 |
| 77.08 | 21 |

Cell and atoms:
```
CeCoCuSi2
1.0
-2.0227 2.0227 4.8730
2.0227 -2.0227 4.8730
2.0227 2.0227 -4.8730
Ce Co Cu Si
1 1 1 2
direct
0.0000 0.0000 0.0000
0.2500 0.7500 0.5000
0.7500 0.2500 0.5000
0.3746 0.3746 0.0000
0.6254 0.6254 0.0000
```

***

Record 3
Computed XRD peak list
Compound: CeCo9Ge4
Radiation: Cu Kα, 1.54184 Å
Structure: DFT lattice parameters and positions (GGA-PBE)
Lines closer than 0.1° are merged.

Main lines, in order of rising 2θ (15 to 90 degrees two-theta):
| 2theta | intensity |
| --- | --- |
| 34.43 | 33 |
| 35.69 | 23 |
| 36.09 | 33 |
| 38.15 | 55 |
| 39.30 | 100 |
| 46.35 | 57 |
| 47.66 | 46 |
| 48.31 | 51 |
| 49.14 | 28 |
| 56.22 | 20 |

Cell and atoms:
```
CeCo9Ge4
1.0
-3.9345 3.9345 5.8947
3.9345 -3.9345 5.8947
3.9345 3.9345 -5.8947
Ce Co Ge
2 18 8
direct
0.2500 0.2500 0.0000
0.7500 0.7500 0.0000
0.0000 0.5000 0.5000
0.0548 0.5548 0.2537
0.0660 0.8007 0.8666
0.1993 0.0660 0.2653
0.1989 0.9452 0.5000
0.3007 0.5660 0.8666
0.3011 0.8011 0.7463
0.4340 0.3007 0.7347
0.4452 0.6989 0.5000
0.5000 0.0000 0.5000
0.5548 0.3011 0.5000
0.5660 0.6993 0.2653
0.6989 0.1989 0.2537
0.6993 0.4340 0.1334
0.8011 0.0548 0.5000
0.8007 0.9340 0.7347
0.9340 0.1993 0.1334
0.9452 0.4452 0.7463
0.0484 0.2007 0.5000
0.2007 0.7007 0.1522
0.2993 0.4516 0.5000
0.4516 0.9516 0.1522
0.5484 0.0484 0.8478
0.7007 0.5484 0.5000
0.7993 0.2993 0.8478
0.9516 0.7993 0.5000
```

***

Record 4
Computed XRD peak list
Compound: CeCoGe2
Radiation: Cu Kα, 1.54184 Å
Structure: DFT lattice parameters and positions (GGA-PBE)
Lines closer than 0.1° are merged.

Main lines, in order of rising 2θ (15 to 90 degrees two-theta):
| 2theta | intensity |
| --- | --- |
| 30.58 | 20 |
| 34.27 | 100 |
| 34.48 | 35 |
| 38.99 | 33 |
| 42.99 | 30 |
| 43.16 | 29 |
| 54.39 | 14 |
| 56.23 | 17 |
| 59.55 | 19 |
| 62.55 | 19 |

Cell and atoms:
```
CeCoGe2
1.0
2.0962 -8.2916 0.0000
2.0962 8.2916 0.0000
0.0000 0.0000 4.2081
Ce Co Ge
2 2 4
direct
0.1108 0.8892 0.7500
0.8892 0.1108 0.2500
0.3189 0.6811 0.7500
0.6811 0.3189 0.2500
0.2498 0.7502 0.2500
0.4564 0.5436 0.7500
0.5436 0.4564 0.2500
0.7502 0.2498 0.7500
```

***

Record 5
Computed XRD peak list
Compound: Ce3CoGe2
Radiation: Cu Kα, 1.54184 Å
Structure: DFT lattice parameters and positions (GGA-PBE)
Lines closer than 0.1° are merged.

Main lines, in order of rising 2θ (15 to 90 degrees two-theta):
| 2theta | intensity |
| --- | --- |
| 27.35 | 41 |
| 27.62 | 47 |
| 30.63 | 48 |
| 31.95 | 93 |
| 32.28 | 40 |
| 32.49 | 38 |
| 35.14 | 100 |
| 38.23 | 46 |
| 43.39 | 58 |
| 50.61 | 33 |

Cell and atoms:
```
Ce3CoGe2
1.0
11.7864 0.0000 0.0000
0.0000 4.1711 0.0000
0.0000 0.0000 11.3386
Ce Co Ge
12 4 8
direct
0.0508 0.2500 0.1266
0.1178 0.7500 0.5565
0.2257 0.2500 0.7987
0.2743 0.7500 0.2987
0.3822 0.2500 0.0565
0.4492 0.7500 0.6266
0.5508 0.2500 0.3734
0.6178 0.7500 0.9435
0.7257 0.2500 0.7013
0.7743 0.7500 0.2013
0.8822 0.2500 0.4435
0.9492 0.7500 0.8734
0.1300 0.2500 0.3694
0.3700 0.7500 0.8694
0.6300 0.2500 0.1306
0.8700 0.7500 0.6306
0.0202 0.7500 0.3118
0.1988 0.7500 0.0017
0.3012 0.2500 0.5017
0.4798 0.2500 0.8118
0.5202 0.7500 0.1882
0.6988 0.7500 0.4983
0.8012 0.2500 0.9983
0.9798 0.2500 0.6882
```

***

Record 6
Computed XRD peak list
Compound: CeCo5H3
Radiation: Cu Kα, 1.54184 Å
Structure: DFT lattice parameters and positions (GGA-PBE)
Lines closer than 0.1° are merged.

Main lines, in order of rising 2θ (15 to 90 degrees two-theta):
| 2theta | intensity |
| --- | --- |
| 30.19 | 77 |
| 35.56 | 28 |
| 41.17 | 50 |
| 42.14 | 43 |
| 42.28 | 100 |
| 45.12 | 41 |
| 60.63 | 15 |
| 62.72 | 25 |
| 68.27 | 16 |
| 81.29 | 19 |

Cell and atoms:
```
CeCo5H3
1.0
2.5358 -4.3657 0.0000
2.5358 4.3657 0.0000
0.0000 0.0000 8.0371
Ce Co H
2 10 6
direct
0.0000 0.0000 0.0000
0.0000 0.0000 0.5000
0.0000 0.5000 0.2667
0.0000 0.5000 0.7333
0.2960 0.5921 0.0000
0.4079 0.7040 0.5000
0.5000 0.0000 0.2333
0.5000 0.0000 0.7667
0.5000 0.5000 0.2500
0.5000 0.5000 0.7500
0.5921 0.2960 0.5000
0.7040 0.4079 0.0000
0.0000 0.5000 0.5000
0.1361 0.8639 0.2500
0.1361 0.8639 0.7500
0.5000 0.0000 0.0000
0.8639 0.1361 0.2500
0.8639 0.1361 0.7500
```

***

Record 7
Computed XRD peak list
Compound: CeCo5H4
Radiation: Cu Kα, 1.54184 Å
Structure: DFT lattice parameters and positions (GGA-PBE)
Lines closer than 0.1° are merged.

Main lines, in order of rising 2θ (15 to 90 degrees two-theta):
| 2theta | intensity |
| --- | --- |
| 29.60 | 37 |
| 30.00 | 45 |
| 34.94 | 28 |
| 39.74 | 60 |
| 40.77 | 59 |
| 41.67 | 100 |
| 44.85 | 44 |
| 59.86 | 24 |
| 61.45 | 31 |
| 65.97 | 24 |

Cell and atoms:
```
CeCo5H4
1.0
2.6453 -4.4061 0.0000
2.6453 4.4061 0.0000
0.0000 0.0000 4.0418
Ce Co H
1 5 4
direct
0.0000 0.0000 0.0000
0.0000 0.5000 0.5000
0.3657 0.6343 0.0000
0.5000 0.0000 0.5000
0.5000 0.5000 0.5000
0.6343 0.3657 0.0000
0.0000 0.5000 0.0000
0.1355 0.8645 0.5000
0.5000 0.0000 0.0000
0.8645 0.1355 0.5000
```

***

Record 8
Computed XRD peak list
Compound: Ce2HfCo16
Radiation: Cu Kα, 1.54184 Å
Structure: DFT lattice parameters and positions (GGA-PBE)
Lines closer than 0.1° are merged.

Main lines, in order of rising 2θ (15 to 90 degrees two-theta):
| 2theta | intensity |
| --- | --- |
| 30.52 | 27 |
| 37.41 | 61 |
| 41.32 | 43 |
| 43.47 | 74 |
| 43.59 | 100 |
| 43.95 | 26 |
| 46.96 | 23 |
| 49.03 | 27 |
| 79.79 | 23 |
| 80.56 | 19 |

Cell and atoms:
```
Ce2HfCo16
1.0
8.3274 0.0000 0.0000
-4.1637 7.2118 0.0000
0.0000 0.0000 8.2400
Ce Hf Co
4 2 32
direct
0.0000 0.0000 0.2488
0.0000 0.0000 0.7512
0.3333 0.6667 0.2657
0.6667 0.3333 0.7343
0.3333 0.6667 0.8806
0.6667 0.3333 0.1194
0.0000 0.5000 0.0000
0.0000 0.5000 0.5000
0.0328 0.3600 0.7489
0.0328 0.6728 0.7489
0.1641 0.3281 0.0218
0.1641 0.8359 0.0218
0.1666 0.3333 0.4882
0.1666 0.8334 0.4882
0.3272 0.3600 0.7489
0.3272 0.9672 0.7489
0.3281 0.1641 0.9782
0.3333 0.1666 0.5118
0.3333 0.6667 0.5885
0.3600 0.0328 0.2511
0.3600 0.3272 0.2511
0.5000 0.0000 0.0000
0.5000 0.0000 0.5000
0.5000 0.5000 0.0000
0.5000 0.5000 0.5000
0.6400 0.6728 0.7489
0.6400 0.9672 0.7489
0.6667 0.3333 0.4115
0.6667 0.8334 0.4882
0.6719 0.8359 0.0218
0.6728 0.0328 0.2511
0.6728 0.6400 0.2511
0.8334 0.1666 0.5118
0.8334 0.6667 0.5118
0.8359 0.1641 0.9782
0.8359 0.6719 0.9782
0.9672 0.3272 0.2511
0.9672 0.6400 0.2511
```

***

Number 4 is which compound? CeCoGe2